Entry 1:
Diffraction record for NaSn4Pd. The X-ray powder pattern is simulated, not measured: it uses a DFT-relaxed cell (PBE, Alexandria) and Cu Kα X-rays.

Structural model:
a = 4.6020 Å, b = 8.1640 Å, c = 8.9211 Å
α = 73.51°, β = 75.18°, γ = 89.99°
Sites, in units of the cell vectors:
1 Na 0.1827 0.2806 0.1325
2 Na 0.8173 0.7194 0.8675
3 Sn 0.0371 0.8467 0.4275
4 Sn 0.1791 0.6880 0.1506
5 Sn 0.3304 0.0412 0.8364
6 Sn 0.4267 0.5956 0.6462
7 Sn 0.5733 0.4044 0.3538
8 Sn 0.6696 0.9588 0.1636
9 Sn 0.8209 0.3120 0.8494
10 Sn 0.9629 0.1533 0.5725
11 Pd 0.0000 0.5000 0.5000
12 Pd 0.5000 0.0000 0.5000

Peak list (10 most intense, 10° ≤ 2θ ≤ 90°, sorted by position)
d/Å  Position (°2θ)  Rel. int.
8.244  10.7  85.8
6.741  13.1  37.2
3.009  29.7  51.7
2.821  31.7  71.9
2.745  32.6  100.0
2.506  35.8  31.3
2.312  38.9  56.6
2.301  39.1  74.2
2.175  41.5  33.9
2.170  41.6  53.8

=====

Entry 2:
Diffraction record for Na3Sr6Pd. The X-ray powder pattern is simulated, not measured: it uses a DFT-relaxed cell (PBE, Alexandria) and Cu Kα X-rays.

Structural model:
a = 9.9281 Å, b = 9.9281 Å, c = 9.9281 Å
α = 78.70°, β = 78.70°, γ = 78.70°
Sites, in units of the cell vectors:
1 Na 0.0298 0.3625 0.3625
2 Na 0.3625 0.0298 0.3625
3 Na 0.3625 0.3625 0.0298
4 Na 0.6375 0.6375 0.9702
5 Na 0.6375 0.9702 0.6375
6 Na 0.9702 0.6375 0.6375
7 Sr 0.0239 0.0239 0.6909
8 Sr 0.0239 0.6909 0.0239
9 Sr 0.3032 0.3032 0.6406
10 Sr 0.3032 0.6406 0.3032
11 Sr 0.3091 0.9761 0.9761
12 Sr 0.3594 0.6968 0.6968
13 Sr 0.6406 0.3032 0.3032
14 Sr 0.6909 0.0239 0.0239
15 Sr 0.6968 0.3594 0.6968
16 Sr 0.6968 0.6968 0.3594
17 Sr 0.9761 0.3091 0.9761
18 Sr 0.9761 0.9761 0.3091
19 Pd 0.0000 0.0000 0.0000
20 Pd 0.5000 0.5000 0.5000

Peak list (10 most intense, 10° ≤ 2θ ≤ 90°, sorted by position)
d/Å  Position (°2θ)  Rel. int.
7.427  11.9  51.6
3.381  26.4  15.2
3.201  27.9  100.0
2.476  36.3  27.1
2.098  43.1  24.9
1.916  47.5  19.8
1.783  51.2  14.2
1.755  52.1  15.2
1.346  69.9  13.2
1.316  71.7  10.4

=====

Entry 3:
Diffraction record for NaSr6Pd. The X-ray powder pattern is simulated, not measured: it uses a DFT-relaxed cell (PBE, Alexandria) and Cu Kα X-rays.

Structural model:
a = 8.2066 Å, b = 8.2066 Å, c = 14.5826 Å
α = 100.67°, β = 100.67°, γ = 53.42°
Sites, in units of the cell vectors:
1 Na 0.0821 0.9179 0.7500
2 Na 0.9179 0.0821 0.2500
3 Sr 0.0608 0.2224 0.5333
4 Sr 0.1976 0.3714 0.8223
5 Sr 0.2224 0.0608 0.0333
6 Sr 0.3448 0.5087 0.1088
7 Sr 0.3714 0.1976 0.3223
8 Sr 0.4913 0.6552 0.3912
9 Sr 0.5087 0.3448 0.6088
10 Sr 0.6286 0.8024 0.6777
11 Sr 0.6552 0.4913 0.8912
12 Sr 0.7776 0.9392 0.9667
13 Sr 0.8024 0.6286 0.1777
14 Sr 0.9392 0.7776 0.4667
15 Pd 0.0000 0.5000 0.0000
16 Pd 0.5000 0.0000 0.5000

Peak list (10 most intense, 10° ≤ 2θ ≤ 90°, sorted by position)
d/Å  Position (°2θ)  Rel. int.
7.153  12.4  27.7
6.187  14.3  13.8
3.692  24.1  12.6
3.509  25.4  17.3
3.265  27.3  100.0
2.541  35.3  22.3
2.129  42.5  28.6
1.975  45.9  23.7
1.784  51.2  12.0
1.367  68.6  14.1

=====

Entry 4:
Diffraction record for Na2Sr6TlPd. The X-ray powder pattern is simulated, not measured: it uses a DFT-relaxed cell (PBE, Alexandria) and Cu Kα X-rays.

Structural model:
a = 8.8513 Å, b = 8.8513 Å, c = 8.8162 Å
α = 119.86°, β = 119.86°, γ = 90.05°
Sites, in units of the cell vectors:
1 Na 0.2496 0.7504 0.0000
2 Na 0.7504 0.2496 0.0000
3 Sr 0.2403 0.2403 0.4979
4 Sr 0.2400 0.2400 0.9817
5 Sr 0.2413 0.7596 0.5002
6 Sr 0.7596 0.2413 0.5002
7 Sr 0.7606 0.7606 0.0183
8 Sr 0.7607 0.7607 0.5022
9 Tl 0.5005 0.5005 0.5000
10 Pd 0.0005 0.0005 0.5000

Peak list (10 most intense, 10° ≤ 2θ ≤ 90°, sorted by position)
d/Å  Position (°2θ)  Rel. int.
6.258  14.2  100.0
4.429  20.0  13.2
3.129  28.5  78.7
2.801  32.0  46.5
2.213  40.8  39.4
2.091  43.3  11.9
2.084  43.4  14.3
1.811  50.4  10.4
1.802  50.7  10.3
1.400  66.8  17.4

=====

Entry 5:
Diffraction record for NaTc2Pd. The X-ray powder pattern is simulated, not measured: it uses a DFT-relaxed cell (PBE, Alexandria) and Cu Kα X-rays.

Structural model:
a = 4.4595 Å, b = 4.4595 Å, c = 4.4595 Å
α = 60.00°, β = 60.00°, γ = 60.00°
Sites, in units of the cell vectors:
1 Na 0.0000 0.0000 0.0000
2 Tc 0.2500 0.2500 0.2500
3 Tc 0.7500 0.7500 0.7500
4 Pd 0.5000 0.5000 0.5000

Peak list (10 most intense, 10° ≤ 2θ ≤ 90°, sorted by position)
d/Å  Position (°2θ)  Rel. int.
3.641  24.4  16.2
3.153  28.3  5.6
2.230  40.5  100.0
1.902  47.8  7.8
1.577  58.5  16.4
1.447  64.4  3.2
1.410  66.3  1.9
1.287  73.6  32.4
1.214  78.9  2.5
1.115  87.5  10.4

=====

Entry 6:
Diffraction record for NaTcPd. The X-ray powder pattern is simulated, not measured: it uses a DFT-relaxed cell (PBE, Alexandria) and Cu Kα X-rays.

Structural model:
a = 2.8506 Å, b = 3.7364 Å, c = 10.7100 Å
α = 90.00°, β = 91.03°, γ = 90.00°
Sites, in units of the cell vectors:
1 Na 0.2385 0.2500 0.3691
2 Na 0.7615 0.7500 0.6309
3 Tc 0.1963 0.2500 0.0533
4 Tc 0.8037 0.7500 0.9467
5 Pd 0.2706 0.2500 0.8005
6 Pd 0.7294 0.7500 0.1995

Peak list (10 most intense, 10° ≤ 2θ ≤ 90°, sorted by position)
d/Å  Position (°2θ)  Rel. int.
3.528  25.2  17.6
2.581  34.8  75.6
2.266  39.8  100.0
2.247  40.1  33.6
2.210  40.8  46.1
2.176  41.5  72.4
1.969  46.1  25.4
1.934  47.0  23.2
1.868  48.7  29.1
1.426  65.5  16.1

=====

Entry 7:
Diffraction record for NaTe2Pd. The X-ray powder pattern is simulated, not measured: it uses a DFT-relaxed cell (PBE, Alexandria) and Cu Kα X-rays.

Structural model:
a = 7.8047 Å, b = 7.8047 Å, c = 7.8047 Å
α = 30.46°, β = 30.46°, γ = 30.46°
Sites, in units of the cell vectors:
1 Na 0.0000 0.0000 0.0000
2 Te 0.5620 0.5620 0.5620
3 Te 0.7682 0.7682 0.7682
4 Pd 0.1646 0.1646 0.1646

Peak list (10 most intense, 10° ≤ 2θ ≤ 90°, sorted by position)
d/Å  Position (°2θ)  Rel. int.
7.437  11.9  80.2
3.384  26.3  34.5
2.779  32.2  100.0
2.372  37.9  13.4
2.193  41.2  16.8
2.050  44.2  44.5
1.977  45.9  16.7
1.889  48.2  27.2
1.650  55.7  20.6
1.285  73.7  17.6

=====

Entry 8:
Diffraction record for Na2Te4Pd3. The X-ray powder pattern is simulated, not measured: it uses a DFT-relaxed cell (PBE, Alexandria) and Cu Kα X-rays.

Structural model:
a = 9.0528 Å, b = 7.0850 Å, c = 7.0231 Å
α = 79.83°, β = 50.38°, γ = 49.78°
Sites, in units of the cell vectors:
1 Na 0.1343 0.8657 0.1343
2 Na 0.8657 0.1343 0.8657
3 Te 0.2074 0.4906 0.5094
4 Te 0.4906 0.2074 0.7926
5 Te 0.5094 0.7926 0.2074
6 Te 0.7926 0.5094 0.4906
7 Pd 0.0000 0.5000 0.0000
8 Pd 0.5000 0.0000 0.5000
9 Pd 0.5000 0.5000 0.5000

Peak list (10 most intense, 10° ≤ 2θ ≤ 90°, sorted by position)
d/Å  Position (°2θ)  Rel. int.
6.435  13.8  27.2
6.367  13.9  26.9
4.959  17.9  84.2
2.872  31.1  25.9
2.689  33.3  100.0
2.479  36.2  26.5
2.263  39.8  33.2
2.169  41.6  26.7
2.055  44.1  29.9
1.738  52.7  32.0

=====

Entry 9:
Diffraction record for Na2Te2Pd. The X-ray powder pattern is simulated, not measured: it uses a DFT-relaxed cell (PBE, Alexandria) and Cu Kα X-rays.

Structural model:
a = 13.1118 Å, b = 13.1118 Å, c = 13.1118 Å
α = 160.14°, β = 160.14°, γ = 28.23°
Sites, in units of the cell vectors:
1 Na 0.0474 0.2974 0.7500
2 Na 0.2974 0.0474 0.2500
3 Na 0.7026 0.9526 0.7500
4 Na 0.9526 0.7026 0.2500
5 Te 0.1838 0.4338 0.7500
6 Te 0.4338 0.1838 0.2500
7 Te 0.5662 0.8162 0.7500
8 Te 0.8162 0.5662 0.2500
9 Pd 0.3750 0.6250 0.7500
10 Pd 0.6250 0.3750 0.2500

Peak list (10 most intense, 10° ≤ 2θ ≤ 90°, sorted by position)
d/Å  Position (°2θ)  Rel. int.
6.358  13.9  29.1
4.452  19.9  61.5
3.380  26.4  100.0
2.553  35.2  88.4
2.261  39.9  54.5
1.990  45.6  43.7
1.879  48.4  37.6
1.355  69.4  23.0
1.300  72.8  23.6
1.246  76.4  18.6

=====

Entry 10:
Diffraction record for NaTe2Pd5. The X-ray powder pattern is simulated, not measured: it uses a DFT-relaxed cell (PBE, Alexandria) and Cu Kα X-rays.

Structural model:
a = 6.6427 Å, b = 6.6427 Å, c = 6.6427 Å
α = 142.84°, β = 109.54°, γ = 82.45°
Sites, in units of the cell vectors:
1 Na 0.0000 0.0000 0.0000
2 Te 0.2421 0.7421 0.5000
3 Te 0.7579 0.2579 0.5000
4 Pd 0.1695 0.3543 0.8152
5 Pd 0.4608 0.6457 0.8152
6 Pd 0.5000 0.0000 0.5000
7 Pd 0.5392 0.3543 0.1848
8 Pd 0.8305 0.6457 0.1848

Peak list (10 most intense, 10° ≤ 2θ ≤ 90°, sorted by position)
d/Å  Position (°2θ)  Rel. int.
6.081  14.6  78.8
4.996  17.8  40.1
2.732  32.8  63.0
2.618  34.3  100.0
2.187  41.3  99.9
2.116  42.7  54.7
2.093  43.2  63.9
2.071  43.7  70.4
2.027  44.7  35.9
1.488  62.4  42.0

=====

Entry 11:
Diffraction record for NaTePd. The X-ray powder pattern is simulated, not measured: it uses a DFT-relaxed cell (PBE, Alexandria) and Cu Kα X-rays.

Structural model:
a = 5.9352 Å, b = 5.9352 Å, c = 5.9352 Å
α = 142.26°, β = 142.26°, γ = 54.43°
Sites, in units of the cell vectors:
1 Na 0.0000 0.0000 0.0000
2 Te 0.7159 0.7159 0.0000
3 Pd 0.2684 0.2684 0.0000

Peak list (10 most intense, 10° ≤ 2θ ≤ 90°, sorted by position)
d/Å  Position (°2θ)  Rel. int.
5.278  16.8  100.0
2.715  33.0  64.9
2.639  34.0  19.6
2.594  34.6  31.9
2.414  37.2  53.8
1.919  47.4  23.2
1.892  48.1  29.0
1.804  50.6  22.3
1.552  59.6  15.0
1.404  66.6  13.7

=====

Entry 12:
Diffraction record for Na2Te4Pd. The X-ray powder pattern is simulated, not measured: it uses a DFT-relaxed cell (PBE, Alexandria) and Cu Kα X-rays.

Structural model:
a = 8.5481 Å, b = 8.5481 Å, c = 8.5481 Å
α = 142.52°, β = 142.52°, γ = 54.05°
Sites, in units of the cell vectors:
1 Na 0.1246 0.1246 0.0000
2 Na 0.8754 0.8754 0.0000
3 Te 0.0000 0.5000 0.5000
4 Te 0.3296 0.3296 0.0000
5 Te 0.5000 0.0000 0.5000
6 Te 0.6704 0.6704 0.0000
7 Pd 0.5000 0.5000 0.0000

Peak list (10 most intense, 10° ≤ 2θ ≤ 90°, sorted by position)
d/Å  Position (°2θ)  Rel. int.
7.615  11.6  68.1
5.167  17.2  85.2
3.460  25.7  64.3
2.746  32.6  100.0
2.719  32.9  38.8
2.664  33.6  36.6
2.538  35.4  33.9
1.942  46.8  36.0
1.864  48.9  53.8
1.542  60.0  28.9

=====

Entry 13:
Diffraction record for NaTe8Pd4. The X-ray powder pattern is simulated, not measured: it uses a DFT-relaxed cell (PBE, Alexandria) and Cu Kα X-rays.

Structural model:
a = 8.2351 Å, b = 8.2351 Å, c = 8.2351 Å
α = 60.00°, β = 60.00°, γ = 60.00°
Sites, in units of the cell vectors:
1 Na 0.0000 0.0000 0.0000
2 Te 0.3904 0.3904 0.3904
3 Te 0.3904 0.3904 0.8288
4 Te 0.3904 0.8288 0.3904
5 Te 0.4305 0.8565 0.8565
6 Te 0.8288 0.3904 0.3904
7 Te 0.8565 0.4305 0.8565
8 Te 0.8565 0.8565 0.4305
9 Te 0.8565 0.8565 0.8565
10 Pd 0.1303 0.6232 0.6232
11 Pd 0.6232 0.1303 0.6232
12 Pd 0.6232 0.6232 0.1303
13 Pd 0.6232 0.6232 0.6232

Peak list (10 most intense, 10° ≤ 2θ ≤ 90°, sorted by position)
d/Å  Position (°2θ)  Rel. int.
6.724  13.2  75.1
3.362  26.5  27.3
2.912  30.7  100.0
2.241  40.2  38.4
2.059  44.0  70.1
1.969  46.1  17.1
1.681  54.6  20.1
1.631  56.4  19.1
1.302  72.6  19.0
1.126  86.4  16.2

=====

Entry 14:
Diffraction record for NaTi3Te6Pd2. The X-ray powder pattern is simulated, not measured: it uses a DFT-relaxed cell (PBE, Alexandria) and Cu Kα X-rays.

Structural model:
a = 9.4861 Å, b = 9.4861 Å, c = 8.8461 Å
α = 109.03°, β = 109.03°, γ = 24.48°
Sites, in units of the cell vectors:
1 Na 0.0000 0.0000 0.0000
2 Ti 0.0000 0.0000 0.5000
3 Ti 0.3576 0.3576 0.1907
4 Ti 0.6424 0.6424 0.8093
5 Te 0.1597 0.1597 0.6070
6 Te 0.1903 0.1903 0.0631
7 Te 0.4850 0.4850 0.7134
8 Te 0.5150 0.5150 0.2866
9 Te 0.8097 0.8097 0.9369
10 Te 0.8403 0.8403 0.3930
11 Pd 0.3828 0.3828 0.8684
12 Pd 0.6172 0.6172 0.1316

Peak list (10 most intense, 10° ≤ 2θ ≤ 90°, sorted by position)
d/Å  Position (°2θ)  Rel. int.
3.694  24.1  27.3
3.353  26.6  73.5
3.309  26.9  45.4
2.969  30.1  100.0
2.913  30.7  40.5
2.894  30.9  22.0
2.360  38.1  54.5
2.153  42.0  55.4
2.011  45.1  61.0
1.725  53.1  21.8